(1)
NaH2CSO4F3: simulated powder X-ray diffraction pattern (Cu Kα), based on a structure optimized by DFT (GGA-PBE).
Neutral-atom scattering factors, no anomalous dispersion.

Unit cell a=10.270 b=7.524 c=10.708 alpha=90.00 beta=111.25 gamma=90.00
Space group P2_1/c (No. 14)
Unique sites:
Na 0.002 0.031 0.269
H 0.279 0.740 0.417
H 0.335 0.739 0.486
C 0.357 0.191 0.605
S 0.194 0.172 0.063
O 0.021 0.738 0.884
O 0.110 0.206 0.924
O 0.136 0.225 0.663
O 0.234 0.506 0.607
F 0.325 0.017 0.596
F 0.418 0.233 0.517
F 0.444 0.229 0.730

Main lines, low angle first (10 to 90 degrees two-theta):
Position (°2θ)	I/Imax	(hkl)
14.98	100	1 1 0
16.80	20	1 0 -2
20.54	23	2 0 -2
21.37	31	0 1 2
22.89	23	1 0 2
23.66	12	0 2 0
28.67	12	3 1 -1
41.57	11	1 2 -4

(2)
NaH2CSO4F3: simulated powder X-ray diffraction pattern (Cu Kα), based on a structure optimized by DFT (GGA-PBE).
Neutral-atom scattering factors, no anomalous dispersion.

Unit cell a=6.536 b=5.497 c=17.692 alpha=90.00 beta=90.00 gamma=90.00
Space group Pnma (No. 62)
Unique sites:
Na 0.065 0.250 0.237
H 0.245 0.106 0.375
C 0.223 0.750 0.071
S 0.112 0.250 0.657
O 0.096 0.750 0.373
O 0.171 0.027 0.696
O 0.213 0.750 0.847
F 0.022 0.750 0.091
F 0.240 0.050 0.528

Main lines, low angle first (10 to 90 degrees two-theta):
Position (°2θ)	I/Imax	(hkl)
16.87	82	1 0 2
20.28	34	1 0 3
21.71	78	1 1 1
22.11	100	0 1 3
23.42	27	1 1 2
29.30	45	1 1 4
33.34	46	1 0 6
38.57	23	0 2 4

(3)
SbHCSO3F8: simulated powder X-ray diffraction pattern (Cu Kα), based on a structure optimized by DFT (GGA-PBE).
Neutral-atom scattering factors, no anomalous dispersion.

Unit cell a=8.844 b=9.709 c=10.828 alpha=90.00 beta=109.21 gamma=90.00
Space group P2_1/c (No. 14)
Unique sites:
Sb 0.241 0.172 0.080
H 0.066 0.003 0.286
C 0.298 0.663 0.014
S 0.092 0.690 0.889
O 0.000 0.247 0.531
O 0.029 0.541 0.855
O 0.103 0.733 0.280
F 0.149 0.048 0.940
F 0.184 0.043 0.194
F 0.264 0.192 0.462
F 0.290 0.568 0.102
F 0.297 0.198 0.719
F 0.352 0.718 0.574
F 0.391 0.619 0.946
F 0.451 0.100 0.122

Main lines, low angle first (10 to 90 degrees two-theta):
Position (°2θ)	I/Imax	(hkl)
13.99	84	1 1 0
17.34	47	0 0 2
18.27	51	0 2 0
19.62	100	0 1 2
21.28	43	2 0 0
21.52	97	1 2 -1
33.49	65	3 1 0
37.38	45	1 3 -3